(1)
Computed powder diffraction line list
Compound: SrMgTiP2O8
Radiation: Cu Kα X-rays
Structure: a crystal structure in the Materials Project, relaxed with GGA-PBE

Principal peaks in the range 10° ≤ 2θ ≤ 90°, low angle first:
- 28.23 deg, rel. 39, hkl -1 1 2
- 28.37 deg, rel. 100, hkl 0 2 0
- 28.81 deg, rel. 47, hkl 1 -1 2
- 30.54 deg, rel. 77, hkl 1 1 -3
- 30.71 deg, rel. 51, hkl 1 0 2
- 32.19 deg, rel. 72, hkl 2 0 -1
- 33.61 deg, rel. 46, hkl 1 -2 2
- 42.69 deg, rel. 34, hkl 1 2 -4

Structural model:
Unit cell a=5.6081 b=6.7654 c=9.4672 alpha=107.41 beta=105.01 gamma=97.36
Space group P-1 (No. 2)
Asymmetric unit:
1 Sr 0.2127 0.2400 0.4487 x2
2 Mg 0.3426 0.2493 0.8528 x2
3 Ti 0.0578 0.8352 0.9506 x2
4 P 0.1575 0.6781 0.2637 x2
5 P 0.4421 0.7703 0.7970 x2
6 O 0.0145 0.3100 0.8927 x2
7 O 0.0673 0.8252 0.3904 x2
8 O 0.1068 0.4461 0.2582 x2
9 O 0.2570 0.9282 0.8079 x2
10 O 0.2832 0.0888 0.1539 x2
11 O 0.3748 0.6184 0.6309 x2
12 O 0.4281 0.6667 0.9230 x2
13 O 0.4434 0.7582 0.2888 x2

(2)
Computed powder diffraction line list
Compound: MgTaTiP3O12
Radiation: Cu Kα X-rays
Structure: a crystal structure in the Materials Project, relaxed with GGA-PBE

Principal peaks in the range 10° ≤ 2θ ≤ 90°, low angle first:
- 14.41 deg, rel. 80, hkl 0 1 2
- 20.19 deg, rel. 100, hkl 1 1 0
- 20.68 deg, rel. 77, hkl 1 0 4
- 23.96 deg, rel. 54, hkl 1 1 3
- 29.06 deg, rel. 40, hkl 0 2 4
- 32.89 deg, rel. 69, hkl 1 1 6
- 35.34 deg, rel. 41, hkl 3 0 0
- 35.64 deg, rel. 35, hkl 2 1 4

Structural model:
Unit cell a=8.7981 b=8.7981 c=20.8003 alpha=90.00 beta=90.00 gamma=120.00
Space group R3c (No. 161, hexagonal axes)
Asymmetric unit:
1 Mg 0.0000 0.0000 0.0000 x6
2 Ta 0.0000 0.0000 0.3521 x6
3 Ti 0.0000 0.0000 0.1408 x6
4 P 0.0027 0.2992 0.2447 x18
5 O 0.0054 0.2023 0.3069 x18
6 O 0.0153 0.1834 0.9203 x18
7 O 0.1386 0.4644 0.8516 x18
8 O 0.1662 0.4839 0.2378 x18